[1]
Calculated PXRD pattern
Compound: Sm4TlSnTe2
Radiation: Cu Kα (λ = 1.5418 Å)
Structure: the GGA-PBE geometry in Alexandria

Atomic structure:
```
Sm4TlSnTe2
1.0
7.4732 0.0000 0.0000
0.0000 4.4290 0.0000
-2.6017 0.0000 7.6186
Sm Tl Sn Te
4 1 1 2
Cartesian
1.1925 0.0000 1.8689
-0.0937 2.2145 5.7082
4.9653 2.2145 1.9103
3.6790 0.0000 5.7497
3.7366 0.0000 0.0000
0.0000 2.2145 0.0000
-1.3008 0.0000 3.8093
2.4358 2.2145 3.8093
```

Principal peaks in the range 10 to 90 degrees two-theta, by angle:
2θ/deg	I_rel
28.2	100.0
28.4	49.6
39.3	41.6
40.0	19.7
40.7	18.8
41.6	35.4
47.8	11.9
50.4	20.4
58.4	13.1
64.7	9.8

=====

[2]
Calculated PXRD pattern
Compound: SmYSnTe
Radiation: Cu Kα (λ = 1.5418 Å)
Structure: the GGA-PBE geometry in Alexandria

Atomic structure:
```
SmYSnTe
1.0
4.4306 0.0000 0.0000
-2.2153 3.8370 0.0000
0.0000 0.0000 21.8643
Sm Y Sn Te
3 3 3 3
Cartesian
0.0000 0.0000 0.0000
0.0000 2.5580 14.5762
2.2153 1.2790 7.2881
0.0000 0.0000 11.1048
0.0000 2.5580 3.8167
2.2153 1.2790 18.3929
0.0000 0.0000 5.5213
0.0000 2.5580 20.0975
2.2153 1.2790 12.8094
0.0000 0.0000 16.5260
0.0000 2.5580 9.2379
2.2153 1.2790 1.9498
```

Principal peaks in the range 10 to 90 degrees two-theta, by angle:
2θ/deg	I_rel
28.4	100.0
40.5	37.8
40.7	38.1
50.1	6.6
50.4	20.5
58.8	12.7
66.4	17.1
66.7	17.6
74.0	12.9
74.1	6.5

=====

[3]
Calculated PXRD pattern
Compound: SmTh2Sn2
Radiation: Cu Kα (λ = 1.5418 Å)
Structure: the GGA-PBE geometry in Alexandria

Atomic structure:
```
SmTh2Sn2
1.0
3.2280 -8.4852 0.0000
3.2280 8.4852 0.0000
0.0000 0.0000 5.6907
Sm Th Sn
2 4 4
Cartesian
0.0000 0.0000 0.0000
0.0000 0.0000 2.8454
3.2280 5.0918 4.2680
3.2280 1.4228 1.4227
3.2280 -1.4228 4.2680
3.2280 -5.0918 1.4227
1.6481 2.3300 4.2680
1.6481 -2.3300 1.4227
4.8078 2.3300 4.2680
4.8078 -2.3300 1.4227
```

Principal peaks in the range 10 to 90 degrees two-theta, by angle:
2θ/deg	I_rel
26.2	73.1
29.7	70.0
31.4	27.1
33.6	100.0
34.9	38.1
35.4	24.7
38.1	43.6
43.8	16.4
57.4	23.4
61.6	22.8

=====

[4]
Calculated PXRD pattern
Compound: Sm7TlSn5
Radiation: Cu Kα (λ = 1.5418 Å)
Structure: the GGA-PBE geometry in Alexandria

Atomic structure:
```
Sm7TlSn5
1.0
-3.1825 5.7348 5.3590
3.1825 -5.7348 5.3590
3.1825 5.7348 -5.3590
Sm Tl Sn
7 1 5
Cartesian
0.0000 0.0000 0.0000
3.1825 1.8983 1.2972
0.0000 0.0000 4.0334
0.0000 3.8435 1.1148
0.0000 7.6262 1.1148
0.0000 5.7348 3.7405
0.0000 3.8365 6.6562
0.0000 0.0000 7.3000
1.5934 2.7669 -1.4322
4.7717 2.7669 -1.4322
3.1825 0.0000 3.8661
-1.5891 2.9679 3.9268
1.5891 2.9679 3.9268
```

Principal peaks in the range 10 to 90 degrees two-theta, by angle:
2θ/deg	I_rel
27.2	68.1
32.0	99.5
32.2	60.1
32.7	67.3
33.4	50.5
35.5	55.4
36.4	100.0
37.2	36.4
56.1	45.2
61.7	39.3